No. 1
For CeSi2IrRh, the GGA-PBE geometry in Alexandria gives the calculated PXRD pattern in this record (Cu Ka).
Neutral-atom scattering factors, no anomalous dispersion.

Cell and atoms:
```
data_CeSi2IrRh
_chemical_formula_sum 'Ce1 Si2 Ir1 Rh1'
_cell_length_a 5.829
_cell_length_b 5.829
_cell_length_c 5.829
_cell_angle_alpha 138.89
_cell_angle_beta 138.89
_cell_angle_gamma 59.55
_symmetry_space_group_name_H-M 'P 1'
_symmetry_Int_Tables_number 1
_symmetry_space_group_name_Hall 'P 1'
loop_
_atom_site_label
_atom_site_fract_x
_atom_site_fract_y
_atom_site_fract_z
Ce1 0.000 0.000 0.000
Si1 0.379 0.379 0.000
Si2 0.621 0.621 0.000
Ir1 0.250 0.750 0.500
Rh1 0.750 0.250 0.500
```

The 12 most intense peaks (10 to 90 degrees two-theta), low angle first:
17.53°, rel. 18; 23.44°, rel. 24; 34.45°, rel. 22; 35.48°, rel. 19; 35.74°, rel. 100; 44.25°, rel. 35; 47.75°, rel. 10; 57.26°, rel. 10; 57.96°, rel. 19; 63.88°, rel. 18; 64.37°, rel. 11; 75.86°, rel. 22

No. 2
For CeYIrRu, the GGA-PBE geometry in Alexandria gives the calculated PXRD pattern in this record (Cu Ka).
Neutral-atom scattering factors, no anomalous dispersion.

Cell and atoms:
```
data_CeYIrRu
_chemical_formula_sum 'Ce1 Y1 Ir1 Ru1'
_cell_length_a 3.498
_cell_length_b 3.498
_cell_length_c 6.730
_cell_angle_alpha 90.00
_cell_angle_beta 90.00
_cell_angle_gamma 90.00
_symmetry_space_group_name_H-M 'P 1'
_symmetry_Int_Tables_number 1
_symmetry_space_group_name_Hall 'P 1'
loop_
_atom_site_label
_atom_site_fract_x
_atom_site_fract_y
_atom_site_fract_z
Ce1 0.000 0.000 0.000
Y1 0.000 0.000 0.499
Ir1 0.500 0.500 0.239
Ru1 0.500 0.500 0.767
```

The 12 most intense peaks (10 to 90 degrees two-theta), low angle first:
13.15°, rel. 14; 28.76°, rel. 5; 36.32°, rel. 54; 37.07°, rel. 100; 52.30°, rel. 19; 54.54°, rel. 8; 65.83°, rel. 37; 67.30°, rel. 16; 77.12°, rel. 6; 78.95°, rel. 10; 88.35°, rel. 9; 88.80°, rel. 8

No. 3
For Ce4IrSe2S, the GGA-PBE geometry in Alexandria gives the calculated PXRD pattern in this record (Cu Ka).
Neutral-atom scattering factors, no anomalous dispersion.

Cell and atoms:
```
data_Ce4IrSe2S
_chemical_formula_sum 'Ce4 Ir1 Se2 S1'
_cell_length_a 7.196
_cell_length_b 4.064
_cell_length_c 7.289
_cell_angle_alpha 90.00
_cell_angle_beta 108.88
_cell_angle_gamma 90.00
_symmetry_space_group_name_H-M 'P 1'
_symmetry_Int_Tables_number 1
_symmetry_space_group_name_Hall 'P 1'
loop_
_atom_site_label
_atom_site_fract_x
_atom_site_fract_y
_atom_site_fract_z
Ce1 0.238 0.000 0.229
Ce2 0.254 0.500 0.765
Ce3 0.746 0.500 0.235
Ce4 0.762 0.000 0.771
Ir1 0.000 0.500 0.000
Se1 0.000 0.000 0.500
Se2 0.500 0.500 0.500
S1 0.500 0.000 0.000
```

The 12 most intense peaks (10 to 90 degrees two-theta), low angle first:
13.00°, rel. 12; 30.34°, rel. 51; 30.57°, rel. 100; 42.95°, rel. 19; 43.40°, rel. 37; 43.83°, rel. 38; 44.59°, rel. 18; 53.12°, rel. 9; 53.86°, rel. 10; 54.89°, rel. 20; 63.63°, rel. 12; 72.07°, rel. 8

No. 4
For Ce5SbIr, the GGA-PBE geometry in Alexandria gives the calculated PXRD pattern in this record (Cu Ka).
Neutral-atom scattering factors, no anomalous dispersion.

Cell and atoms:
```
data_Ce5SbIr
_chemical_formula_sum 'Ce10 Sb2 Ir2'
_cell_length_a 6.406
_cell_length_b 6.406
_cell_length_c 10.816
_cell_angle_alpha 108.46
_cell_angle_beta 108.46
_cell_angle_gamma 65.20
_symmetry_space_group_name_H-M 'P 1'
_symmetry_Int_Tables_number 1
_symmetry_space_group_name_Hall 'P 1'
loop_
_atom_site_label
_atom_site_fract_x
_atom_site_fract_y
_atom_site_fract_z
Ce1 0.011 0.562 0.338
Ce2 0.045 0.955 0.750
Ce3 0.211 0.488 0.939
Ce4 0.438 0.989 0.162
Ce5 0.488 0.211 0.439
Ce6 0.512 0.789 0.561
Ce7 0.562 0.011 0.838
Ce8 0.789 0.512 0.061
Ce9 0.955 0.045 0.250
Ce10 0.989 0.438 0.662
Sb1 0.474 0.526 0.250
Sb2 0.526 0.474 0.750
Ir1 0.000 0.000 0.000
Ir2 0.000 0.000 0.500
```

The 12 most intense peaks (10 to 90 degrees two-theta), low angle first:
19.81°, rel. 25; 27.95°, rel. 20; 29.76°, rel. 30; 30.83°, rel. 52; 31.49°, rel. 100; 33.46°, rel. 90; 33.92°, rel. 45; 35.89°, rel. 19; 37.46°, rel. 19; 42.75°, rel. 28; 44.67°, rel. 39; 65.74°, rel. 20